Ho8Ni: simulated X-ray powder pattern (λ = 1.5418 Å (Cu Kα)), based on a cell relaxed with PBE.

Cell and atoms:
a = 9.0371 Å, b = 9.0371 Å, c = 3.6142 Å
α = 90.00°, β = 90.00°, γ = 120.00°
Space group P-62m (No. 189)
One atom of each set of equivalent atoms:
Ho 0.0000 0.2370 0.0000 [3 per cell]
Ho 0.0000 0.6098 0.5000 [3 per cell]
Ho 0.3333 0.6667 0.0000 [2 per cell]
Ni 0.0000 0.0000 0.5000 [1 per cell]

The 8 most intense peaks (2θ from 10° to 80°), by intensity:
index, Position (°2θ), intensity
1 1 1, 31.70, 1000
2 1 0, 30.21, 783
2 0 1, 33.76, 564
3 0 0, 34.38, 452
2 1 2, 59.95, 451
2 1 1, 39.36, 358
3 2 1, 57.30, 302
3 0 2, 62.52, 160